# 1
Diffraction record for K2CrCdF6. The powder X-ray diffraction pattern is computed, not measured: it uses a crystal structure in Alexandria, relaxed with GGA+U and a wavelength of 1.5418 Å.
Peak positions follow from Bragg's law for the DFT cell and can differ from measured ones.

Largest 12 diffraction maxima, by intensity, 2θ = 15–90°:
29.14 deg, rel. 100.0; 41.07 deg, rel. 56.6; 28.72 deg, rel. 51.6; 20.20 deg, rel. 44.6; 51.14 deg, rel. 38.6; 60.41 deg, rel. 30.3; 42.27 deg, rel. 25.4; 17.64 deg, rel. 21.2; 20.77 deg, rel. 21.1; 51.91 deg, rel. 17.9; 59.48 deg, rel. 16.2; 75.65 deg, rel. 14.2

Atomic structure:
a b c (Å): 6.132 6.132 6.132
angles (deg): 119.09 119.09 91.59
Fractional positions:
1 K 0.250 0.750 0.500
2 K 0.750 0.250 0.500
3 Cr 0.000 0.000 0.000
4 Cd 0.500 0.500 0.000
5 F 0.235 0.235 0.000
6 F 0.247 0.247 0.493
7 F 0.247 0.753 0.000
8 F 0.753 0.247 0.000
9 F 0.753 0.753 0.507
10 F 0.765 0.765 0.000

***

# 2
Diffraction record for LiCr2CdF6. The powder X-ray diffraction pattern is computed, not measured: it uses a crystal structure in Alexandria, relaxed with GGA+U and a wavelength of 1.5418 Å.
Peak positions follow from Bragg's law for the DFT cell and can differ from measured ones.

Largest 12 diffraction maxima, by intensity, 2θ = 15–90°:
27.50 deg, rel. 100.0; 18.44 deg, rel. 97.1; 32.19 deg, rel. 79.8; 31.03 deg, rel. 77.7; 19.21 deg, rel. 70.6; 31.33 deg, rel. 60.0; 31.99 deg, rel. 57.9; 20.09 deg, rel. 52.6; 35.89 deg, rel. 47.9; 33.33 deg, rel. 45.9; 43.37 deg, rel. 37.2; 18.22 deg, rel. 35.7

Atomic structure:
a b c (Å): 5.455 5.664 5.717
angles (deg): 118.91 108.88 98.26
Fractional positions:
1 Li 0.000 0.000 0.000
2 Cr 0.275 0.828 0.470
3 Cr 0.715 0.339 0.406
4 Cd 0.490 0.610 0.019
5 F 0.042 0.609 0.796
6 F 0.360 0.148 0.020
7 F 0.530 0.220 0.615
8 F 0.591 0.759 0.696
9 F 0.978 0.424 0.244
10 F 0.978 0.957 0.314

***

# 3
Diffraction record for Li2CrCdF6. The powder X-ray diffraction pattern is computed, not measured: it uses a crystal structure in Alexandria, relaxed with GGA+U and a wavelength of 1.5418 Å.
Peak positions follow from Bragg's law for the DFT cell and can differ from measured ones.

Largest 12 diffraction maxima, by intensity, 2θ = 15–90°:
23.28 deg, rel. 100.0; 21.12 deg, rel. 72.6; 31.22 deg, rel. 56.3; 32.05 deg, rel. 40.4; 39.46 deg, rel. 25.4; 47.61 deg, rel. 22.8; 19.44 deg, rel. 22.2; 48.89 deg, rel. 18.3; 50.05 deg, rel. 18.1; 58.27 deg, rel. 16.6; 33.38 deg, rel. 16.5; 32.94 deg, rel. 15.9

Atomic structure:
a b c (Å): 5.372 5.438 9.820
angles (deg): 90.00 121.06 90.00
Fractional positions:
1 Li 0.231 0.008 0.255
2 Li 0.231 0.492 0.755
3 Li 0.769 0.508 0.245
4 Li 0.769 0.992 0.745
5 Cr 0.500 0.000 0.000
6 Cr 0.500 0.500 0.500
7 Cd 0.000 0.000 0.500
8 Cd 0.000 0.500 0.000
9 F 0.090 0.150 0.740
10 F 0.090 0.350 0.240
11 F 0.262 0.649 0.588
12 F 0.262 0.851 0.088
13 F 0.438 0.174 0.576
14 F 0.438 0.326 0.076
15 F 0.562 0.674 0.924
16 F 0.562 0.826 0.424
17 F 0.738 0.149 0.912
18 F 0.738 0.351 0.412
19 F 0.910 0.650 0.760
20 F 0.910 0.850 0.260

***

# 4
Diffraction record for NaCrCdF6. The powder X-ray diffraction pattern is computed, not measured: it uses a crystal structure in Alexandria, relaxed with GGA+U and a wavelength of 1.5418 Å.
Peak positions follow from Bragg's law for the DFT cell and can differ from measured ones.

Largest 12 diffraction maxima, by intensity, 2θ = 15–90°:
26.65 deg, rel. 100.0; 51.16 deg, rel. 38.1; 42.46 deg, rel. 27.2; 54.43 deg, rel. 25.2; 32.44 deg, rel. 23.6; 18.56 deg, rel. 22.6; 37.84 deg, rel. 17.4; 57.87 deg, rel. 16.7; 20.86 deg, rel. 12.2; 74.36 deg, rel. 9.6; 80.85 deg, rel. 8.1; 62.60 deg, rel. 7.9

Atomic structure:
a b c (Å): 5.520 5.520 9.366
angles (deg): 90.00 90.00 120.00
Fractional positions:
1 Na 0.333 0.667 0.250
2 Na 0.667 0.333 0.750
3 Cr 0.333 0.667 0.750
4 Cr 0.667 0.333 0.250
5 Cd 0.000 0.000 0.000
6 Cd 0.000 0.000 0.500
7 F 0.045 0.369 0.633
8 F 0.045 0.676 0.867
9 F 0.324 0.369 0.867
10 F 0.324 0.955 0.633
11 F 0.369 0.045 0.133
12 F 0.369 0.324 0.367
13 F 0.631 0.676 0.633
14 F 0.631 0.955 0.867
15 F 0.676 0.045 0.367
16 F 0.676 0.631 0.133
17 F 0.955 0.324 0.133
18 F 0.955 0.631 0.367

***

# 5
Diffraction record for RbCr2CdF8. The powder X-ray diffraction pattern is computed, not measured: it uses a crystal structure in Alexandria, relaxed with GGA+U and a wavelength of 1.5418 Å.
Peak positions follow from Bragg's law for the DFT cell and can differ from measured ones.

Largest 12 diffraction maxima, by intensity, 2θ = 15–90°:
31.23 deg, rel. 100.0; 23.42 deg, rel. 95.8; 24.32 deg, rel. 68.2; 46.42 deg, rel. 34.4; 46.26 deg, rel. 31.1; 35.98 deg, rel. 29.2; 59.35 deg, rel. 26.7; 49.82 deg, rel. 19.5; 47.41 deg, rel. 19.5; 47.25 deg, rel. 18.2; 58.93 deg, rel. 17.8; 53.72 deg, rel. 13.3

Atomic structure:
a b c (Å): 5.255 6.825 5.296
angles (deg): 90.00 92.13 90.00
Fractional positions:
1 Rb 0.000 0.000 0.000
2 Cr 0.500 0.257 0.500
3 Cr 0.500 0.743 0.500
4 Cd 0.000 0.500 0.000
5 F 0.241 0.285 0.225
6 F 0.241 0.715 0.225
7 F 0.315 0.500 0.672
8 F 0.338 0.000 0.645
9 F 0.662 0.000 0.355
10 F 0.685 0.500 0.328
11 F 0.759 0.285 0.775
12 F 0.759 0.715 0.775

***

# 6
Diffraction record for Tl2CrCdF6. The powder X-ray diffraction pattern is computed, not measured: it uses a crystal structure in Alexandria, relaxed with GGA+U and a wavelength of 1.5418 Å.
Peak positions follow from Bragg's law for the DFT cell and can differ from measured ones.

Largest 12 diffraction maxima, by intensity, 2θ = 15–90°:
28.89 deg, rel. 100.0; 28.44 deg, rel. 51.8; 50.64 deg, rel. 43.0; 40.66 deg, rel. 33.4; 35.39 deg, rel. 25.5; 51.46 deg, rel. 20.3; 59.85 deg, rel. 20.1; 41.95 deg, rel. 15.1; 20.01 deg, rel. 14.4; 81.30 deg, rel. 11.1; 81.94 deg, rel. 10.8; 83.02 deg, rel. 10.8

Atomic structure:
a b c (Å): 6.184 6.184 6.184
angles (deg): 119.02 119.02 91.71
Fractional positions:
1 Tl 0.250 0.750 0.500
2 Tl 0.750 0.250 0.500
3 Cr 0.000 0.000 0.000
4 Cd 0.500 0.500 0.000
5 F 0.234 0.234 0.000
6 F 0.247 0.247 0.493
7 F 0.247 0.753 0.000
8 F 0.753 0.247 0.000
9 F 0.753 0.753 0.507
10 F 0.766 0.766 0.000